# 1
Diffraction record for GaAg2Os. The powder XRD pattern is simulated, not measured: it uses a cell relaxed with GGA-PBE and Cu Ka.
Kinematic intensities with the Lorentz-polarization factor, no thermal factor.

Structural model:
Lattice parameters (Å, degrees): 4.492 4.492 4.492 60.00 60.00 60.00
Element x y z (fractional)
Ga (0.000, 0.000, 0.000)
Ag (0.500, 0.500, 0.500)
Ag (0.750, 0.750, 0.750)
Os (0.250, 0.250, 0.250)

Largest 11 diffraction maxima, by angle, 10 to 90 degrees two-theta:
- 24.27 deg, I = 7
- 28.09 deg, I = 7
- 40.15 deg, I = 100
- 47.46 deg, I = 4
- 49.71 deg, I = 2
- 58.08 deg, I = 17
- 63.87 deg, I = 2
- 65.73 deg, I = 3
- 72.95 deg, I = 33
- 78.18 deg, I = 1
- 86.70 deg, I = 11

---

# 2
Diffraction record for ZrGaAgPd. The powder XRD pattern is simulated, not measured: it uses a cell relaxed with GGA-PBE and Cu Ka.
Kinematic intensities with the Lorentz-polarization factor, no thermal factor.

Structural model:
Lattice parameters (Å, degrees): 4.620 4.620 4.620 60.00 60.00 60.00
Element x y z (fractional)
Zr (0.000, 0.000, 0.000)
Ga (0.250, 0.250, 0.250)
Ag (0.750, 0.750, 0.750)
Pd (0.500, 0.500, 0.500)

Largest 7 diffraction maxima, by angle, 10 to 90 degrees two-theta:
- 23.59 deg, I = 3
- 38.99 deg, I = 100
- 46.08 deg, I = 1
- 56.32 deg, I = 17
- 61.90 deg, I = 1
- 70.63 deg, I = 33
- 83.74 deg, I = 10

---

# 3
Diffraction record for Pm2Ga3Ag. The powder XRD pattern is simulated, not measured: it uses a cell relaxed with GGA-PBE and Cu Ka.
Kinematic intensities with the Lorentz-polarization factor, no thermal factor.

Structural model:
Lattice parameters (Å, degrees): 9.030 8.701 5.903 73.60 67.57 38.83
Element x y z (fractional)
Pm (0.243, 0.757, 0.757)
Pm (0.250, 0.250, 0.250)
Pm (0.750, 0.750, 0.750)
Pm (0.757, 0.243, 0.243)
Ga (0.172, 0.663, 0.337)
Ga (0.337, 0.337, 0.663)
Ga (0.337, 0.828, 0.172)
Ga (0.663, 0.172, 0.828)
Ga (0.663, 0.663, 0.337)
Ga (0.828, 0.337, 0.663)
Ag (0.168, 0.168, 0.832)
Ag (0.832, 0.832, 0.168)

Largest 12 diffraction maxima, by angle, 10 to 90 degrees two-theta:
- 22.75 deg, I = 10
- 32.83 deg, I = 100
- 39.95 deg, I = 54
- 47.76 deg, I = 11
- 52.64 deg, I = 26
- 53.53 deg, I = 2
- 63.97 deg, I = 26
- 68.08 deg, I = 24
- 72.56 deg, I = 9
- 79.36 deg, I = 8
- 86.16 deg, I = 4
- 86.28 deg, I = 2

---

# 4
Diffraction record for GaAgSeS. The powder XRD pattern is simulated, not measured: it uses a cell relaxed with GGA-PBE and Cu Ka.
Kinematic intensities with the Lorentz-polarization factor, no thermal factor.

Structural model:
Lattice parameters (Å, degrees): 6.856 6.856 6.856 129.51 128.23 75.23
Element x y z (fractional)
Ga (0.129, 0.379, 0.750)
Ga (0.371, 0.121, 0.250)
Ag (0.640, 0.890, 0.750)
Ag (0.860, 0.610, 0.250)
Se (0.250, 0.477, 0.227)
Se (0.750, 0.023, 0.273)
S (0.042, 0.750, 0.792)
S (0.458, 0.250, 0.708)

Largest 12 diffraction maxima, by angle, 10 to 90 degrees two-theta:
- 26.90 deg, I = 100
- 43.25 deg, I = 25
- 45.08 deg, I = 21
- 45.59 deg, I = 20
- 51.21 deg, I = 15
- 52.14 deg, I = 15
- 55.29 deg, I = 11
- 69.61 deg, I = 6
- 73.07 deg, I = 5
- 80.26 deg, I = 7
- 81.36 deg, I = 7
- 85.20 deg, I = 5

---

# 5
Diffraction record for GaAgSeS. The powder XRD pattern is simulated, not measured: it uses a cell relaxed with GGA-PBE and Cu Ka.
Kinematic intensities with the Lorentz-polarization factor, no thermal factor.

Structural model:
Lattice parameters (Å, degrees): 5.925 5.925 6.796 115.20 115.20 90.01
Element x y z (fractional)
Ga (0.118, 0.882, 0.500)
Ga (0.882, 0.118, 0.000)
Ag (0.383, 0.651, 0.000)
Ag (0.651, 0.383, 0.500)
Se (0.225, 0.504, 0.250)
Se (0.504, 0.225, 0.750)
S (0.004, 0.790, 0.750)
S (0.790, 0.004, 0.250)

Largest 12 diffraction maxima, by angle, 10 to 90 degrees two-theta:
- 26.65 deg, I = 45
- 26.88 deg, I = 100
- 27.13 deg, I = 55
- 43.19 deg, I = 47
- 45.03 deg, I = 43
- 45.63 deg, I = 42
- 51.34 deg, I = 19
- 51.47 deg, I = 13
- 51.74 deg, I = 16
- 55.33 deg, I = 14
- 62.73 deg, I = 14
- 85.22 deg, I = 12

---

# 6
Diffraction record for Ga2Ag2Se3S. The powder XRD pattern is simulated, not measured: it uses a cell relaxed with GGA-PBE and Cu Ka.
Kinematic intensities with the Lorentz-polarization factor, no thermal factor.

Structural model:
Lattice parameters (Å, degrees): 6.918 6.918 5.979 115.01 115.01 51.54
Element x y z (fractional)
Ga (0.122, 0.122, 0.379)
Ga (0.878, 0.878, 0.621)
Ag (0.363, 0.397, 0.139)
Ag (0.603, 0.637, 0.861)
Se (0.496, 0.004, 0.278)
Se (0.777, 0.223, 0.000)
Se (0.996, 0.504, 0.722)
S (0.208, 0.792, 0.500)

Largest 12 diffraction maxima, by angle, 10 to 90 degrees two-theta:
- 26.43 deg, I = 90
- 26.65 deg, I = 100
- 34.39 deg, I = 12
- 42.65 deg, I = 47
- 44.50 deg, I = 21
- 44.65 deg, I = 43
- 45.05 deg, I = 21
- 50.76 deg, I = 17
- 50.87 deg, I = 27
- 51.24 deg, I = 13
- 54.35 deg, I = 14
- 79.23 deg, I = 13

---

# 7
Diffraction record for GaAgTeS. The powder XRD pattern is simulated, not measured: it uses a cell relaxed with GGA-PBE and Cu Ka.
Kinematic intensities with the Lorentz-polarization factor, no thermal factor.

Structural model:
Lattice parameters (Å, degrees): 6.109 6.109 6.987 114.44 114.44 90.07
Element x y z (fractional)
Ga (0.109, 0.891, 0.500)
Ga (0.891, 0.109, 0.000)
Ag (0.393, 0.682, 0.998)
Ag (0.682, 0.393, 0.498)
Te (0.242, 0.511, 0.249)
Te (0.511, 0.242, 0.749)
S (0.009, 0.795, 0.750)
S (0.795, 0.009, 0.250)

Largest 12 diffraction maxima, by angle, 10 to 90 degrees two-theta:
- 16.29 deg, I = 14
- 25.45 deg, I = 42
- 25.93 deg, I = 100
- 26.47 deg, I = 57
- 27.42 deg, I = 20
- 33.64 deg, I = 16
- 41.84 deg, I = 47
- 42.94 deg, I = 54
- 44.23 deg, I = 43
- 49.34 deg, I = 20
- 50.16 deg, I = 16
- 52.92 deg, I = 13

---

# 8
Diffraction record for GaAgTeS. The powder XRD pattern is simulated, not measured: it uses a cell relaxed with GGA-PBE and Cu Ka.
Kinematic intensities with the Lorentz-polarization factor, no thermal factor.

Structural model:
Lattice parameters (Å, degrees): 7.119 7.119 7.119 130.61 127.58 74.89
Element x y z (fractional)
Ga (0.135, 0.385, 0.750)
Ga (0.365, 0.115, 0.250)
Ag (0.653, 0.903, 0.750)
Ag (0.847, 0.597, 0.250)
Te (0.250, 0.494, 0.244)
Te (0.750, 0.006, 0.256)
S (0.048, 0.750, 0.798)
S (0.452, 0.250, 0.702)

Largest 12 diffraction maxima, by angle, 10 to 90 degrees two-theta:
- 20.55 deg, I = 13
- 25.95 deg, I = 100
- 32.59 deg, I = 10
- 34.06 deg, I = 8
- 38.04 deg, I = 11
- 41.81 deg, I = 28
- 43.03 deg, I = 21
- 44.21 deg, I = 20
- 48.80 deg, I = 16
- 50.92 deg, I = 15
- 53.02 deg, I = 9
- 58.74 deg, I = 7